No. 1
This entry pairs a crystal structure of Nb2BRh8 with its computed powder XRD pattern. Radiation: Cu Kα (weighted mean of Kα1 and Kα2). Structure: DFT lattice parameters and positions (GGA-PBE).

Largest 8 diffraction maxima, by angle, 10° ≤ 2θ ≤ 90°:
d_spacing	two_theta	I (rel.)
2.549	35.2	27.0
2.217	40.7	100.0
2.062	43.9	98.9
1.673	54.9	14.8
1.386	67.6	17.5
1.248	76.3	18.6
1.178	81.8	25.1
1.176	82.0	20.3

Atomic structure:
a b c (Å): 4.437 5.559 12.796
angles (deg): 90.00 90.00 90.00
Space group Immm (No. 71)
One atom of each set of equivalent atoms:
Nb: 0.000 0.000 0.188
B: 0.000 0.000 0.500
Rh: 0.000 0.251 0.375
Rh: 0.000 0.254 0.000
Rh: 0.000 0.500 0.183


No. 2
This entry pairs a crystal structure of Sr2Li12TlZn3 with its computed powder XRD pattern. Radiation: Cu Kα (weighted mean of Kα1 and Kα2). Structure: DFT lattice parameters and positions (GGA-PBE).

Largest 8 diffraction maxima, by angle, 10° ≤ 2θ ≤ 90°:
d_spacing	two_theta	I (rel.)
7.374	12.0	100.0
5.051	17.6	52.6
3.388	26.3	39.6
3.214	27.8	30.0
3.190	28.0	20.4
2.697	33.2	45.3
2.525	35.5	47.3
2.379	37.8	18.4

Atomic structure:
a b c (Å): 10.1017 10.1017 13.7051
angles (deg): 90.00 90.00 120.00
Space group R-3m (No. 166, hexagonal axes)
One atom of each set of equivalent atoms:
Sr: 0.0000 0.0000 0.2452
Li: 0.0226 0.5113 0.1996
Li: 0.0464 0.5232 0.6039
Tl: 0.0000 0.0000 0.5000
Zn: 0.0000 0.5000 0.0000